(1)
This entry pairs a crystal structure of Li7MnO4F2 with its calculated powder diffraction line list. Radiation: Cu Kα X-rays. Structure: a cell relaxed with GGA+U.

Main lines, by intensity (2θ from 10° to 90°):
2θ/deg  I/Imax
36.15  1000
19.55  475
18.86  475
19.23  449
21.46  419
21.63  378
22.43  365
38.09  322
48.22  269
17.88  248

```
data_Li7MnO4F2
_chemical_formula_sum 'Li14 Mn2 O8 F4'
_cell_length_a 5.498
_cell_length_b 5.665
_cell_length_c 10.319
_cell_angle_alpha 75.79
_cell_angle_beta 76.93
_cell_angle_gamma 61.29
_symmetry_space_group_name_H-M 'P 1'
_symmetry_Int_Tables_number 1
_symmetry_space_group_name_Hall 'P 1'
loop_
_atom_site_label
_atom_site_type_symbol
_atom_site_fract_x
_atom_site_fract_y
_atom_site_fract_z
Li1 Li 0.000 0.000 0.000
Li2 Li 0.006 0.278 0.513
Li3 Li 0.040 0.659 0.864
Li4 Li 0.063 0.492 0.666
Li5 Li 0.195 0.585 0.170
Li6 Li 0.272 0.283 0.019
Li7 Li 0.286 0.896 0.676
Li8 Li 0.393 0.275 0.368
Li9 Li 0.423 0.566 0.527
Li10 Li 0.572 0.698 0.021
Li11 Li 0.610 0.939 0.191
Li12 Li 0.656 0.149 0.678
Li13 Li 0.725 0.849 0.495
Li14 Li 0.867 0.311 0.163
Mn1 Mn 0.154 0.919 0.339
Mn2 Mn 0.637 0.434 0.839
O1 O 0.111 0.596 0.458
O2 O 0.224 0.220 0.221
O3 O 0.308 0.631 0.968
O4 O 0.352 0.939 0.470
O5 O 0.364 0.501 0.724
O6 O 0.897 0.393 0.958
O7 O 0.933 0.943 0.212
O8 O 0.940 0.211 0.715
F1 F 0.537 0.614 0.213
F2 F 0.648 0.996 0.984
F3 F 0.684 0.806 0.699
F4 F 0.709 0.216 0.476
```

***

(2)
This entry pairs a crystal structure of Li4MnO2F3 with its calculated powder diffraction line list. Radiation: Cu Kα X-rays. Structure: a cell relaxed with GGA+U.

Main lines, by intensity (2θ from 10° to 90°):
2θ/deg  I/Imax
40.36  1000
26.34  839
18.77  769
43.36  755
25.97  736
18.02  699
46.16  664
62.96  446
60.73  444
25.39  431

```
data_Li4MnO2F3
_chemical_formula_sum 'Li4 Mn1 O2 F3'
_cell_length_a 5.127
_cell_length_b 5.127
_cell_length_c 6.646
_cell_angle_alpha 128.34
_cell_angle_beta 128.34
_cell_angle_gamma 45.11
_symmetry_space_group_name_H-M 'P 1'
_symmetry_Int_Tables_number 1
_symmetry_space_group_name_Hall 'P 1'
loop_
_atom_site_label
_atom_site_type_symbol
_atom_site_fract_x
_atom_site_fract_y
_atom_site_fract_z
Li1 Li 0.000 0.000 0.000
Li2 Li 0.190 0.190 0.547
Li3 Li 0.575 0.575 0.751
Li4 Li 0.807 0.807 0.399
Mn1 Mn 0.373 0.373 0.175
O1 O 0.290 0.290 0.360
O2 O 0.883 0.883 0.165
F1 F 0.076 0.076 0.772
F2 F 0.455 0.455 0.953
F3 F 0.681 0.681 0.562
```